Diffraction record for LiTb2Rh2. The powder diffraction line list is simulated, not measured: it uses a structure optimized by DFT (PBE) and Cu Ka.
Lines closer than 0.1° are merged.

```
10
Lattice="5.098 -2.682 0.000 5.098 2.682 0.000 -2.222 0.000 7.356" Properties=species:S:1:pos:R:3 pbc="T T T"
Li 3.432 1.925 5.517
Li 4.543 -1.925 1.839
Tb 2.821 0.802 2.568
Tb 6.265 0.802 1.110
Tb 1.710 -0.802 6.246
Tb 5.154 -0.802 4.787
Rh 1.562 1.899 7.293
Rh 5.303 1.899 3.741
Rh 2.672 -1.899 3.615
Rh 6.413 -1.899 0.063
```

The 10 most intense peaks (15° ≤ 2θ ≤ 90°), in order of rising 2θ:
2θ 20.96, d = 4.238 Å, I 36
2θ 25.77, d = 3.457 Å, I 76
2θ 32.95, d = 2.719 Å, I 51
2θ 34.52, d = 2.598 Å, I 33
2θ 35.63, d = 2.520 Å, I 44
2θ 36.83, d = 2.440 Å, I 67
2θ 37.28, d = 2.412 Å, I 34
2θ 38.56, d = 2.335 Å, I 100
2θ 38.99, d = 2.310 Å, I 61
2θ 41.95, d = 2.154 Å, I 40